This entry pairs a crystal structure of DyFe2SbO6 with its computed X-ray powder pattern. Radiation: Cu Kα X-rays. Structure: a structure optimized by DFT (GGA+U).
Peak positions follow from Bragg's law for the DFT cell and can differ from measured ones.

Top 10 peaks for 10 to 90 degrees two-theta, low angle first:
2θ/deg, intensity, hkl
22.40, 80, 1 1 0
22.52, 40, 1 0 1
30.87, 55, 1 0 -1
30.99, 53, 0 1 -1
31.11, 54, 1 1 2
32.83, 100, 1 -1 0
32.96, 47, 2 1 1
45.72, 42, 0 2 2
50.37, 28, 1 -1 2
57.44, 30, 3 1 0

Crystal structure
Cell lengths 5.4358, 5.4479, 5.7720 Å; angles 62.07, 62.39, 60.27 degrees
Positions (direct):
Dy: 0.0000 0.0000 0.0000
Fe: 0.2812 0.2956 0.1482
Fe: 0.7901 0.7969 0.6260
Sb: 0.4869 0.4959 0.5276
O: 0.1106 0.4103 0.8098
O: 0.2126 0.8684 0.3314
O: 0.4101 0.6900 0.7954
O: 0.5737 0.2344 0.3215
O: 0.6837 0.1141 0.7937
O: 0.8582 0.5927 0.3241